Computed X-ray diffraction stick pattern of PrErTm14 for Cu Kα, 1.54184 Å, from a DFT-relaxed cell (GGA-PBE, Alexandria).
Kinematic intensities with the Lorentz-polarization factor, no thermal factor.

Peak list (12 most intense, 2θ from 10° to 90°, low angle first)
Position (°2θ)	I_rel	index
30.3	42	1 0 4
31.6	34	4 0 0
33.4	100	2 2 2
37.9	23	3 0 4
50.2	10	5 0 4
51.9	26	0 4 0
57.5	21	6 2 2
62.1	30	4 4 0
63.1	16	2 0 8
66.1	9	8 0 0
86.1	14	2 4 8
88.7	11	8 2 6

Cell and atoms:
```
data_PrErTm14
_cell_length_a 11.311
_cell_length_b 7.046
_cell_length_c 12.199
_cell_angle_alpha 90.00
_cell_angle_beta 90.00
_cell_angle_gamma 90.00
_space_group_name_H-M_alt 'A m m 2'
_space_group_IT_number 38
loop_
_space_group_symop_operation_xyz
'x,y,z'
'-x,-y,z'
'-x,y,z'
'x,-y,z'
'x,y+1/2,z+1/2'
'-x,-y+1/2,z+1/2'
'-x,y+1/2,z+1/2'
'x,-y+1/2,z+1/2'
loop_
_atom_site_label
_atom_site_type_symbol
_atom_site_fract_x
_atom_site_fract_y
_atom_site_fract_z
Pr1 Pr 0.000 0.000 0.000
Er1 Er 0.000 0.000 0.500
Tm1 Tm 0.000 0.250 0.250
Tm2 Tm 0.250 0.000 0.667
Tm3 Tm 0.253 0.000 0.167
Tm4 Tm 0.253 0.249 0.417
Tm5 Tm 0.500 0.000 0.334
Tm6 Tm 0.500 0.000 0.833
Tm7 Tm 0.500 0.250 0.084
```

***

Computed X-ray diffraction stick pattern of Pr12Er5Tm2 for Cu Kα, 1.54184 Å, from a DFT-relaxed cell (GGA-PBE, Alexandria).
Kinematic intensities with the Lorentz-polarization factor, no thermal factor.

Peak list (12 most intense, 2θ from 10° to 90°, low angle first)
Position (°2θ)	I_rel	index
27.4	31	5 1 -1
29.6	25	1 1 -2
30.3	58	0 4 0
30.8	16	6 0 -1
31.3	100	4 2 1
32.7	40	2 2 -2
34.5	20	6 2 -1
35.0	21	5 3 -1
36.8	12	1 3 -2
43.8	12	6 4 -1
47.0	13	9 1 0
54.5	25	4 6 1

Cell and atoms:
```
data_Pr12Er5Tm2
_cell_length_a 18.053
_cell_length_b 11.790
_cell_length_c 6.251
_cell_angle_alpha 90.00
_cell_angle_beta 102.27
_cell_angle_gamma 90.00
_space_group_name_H-M_alt 'C 1 2/m 1'
_space_group_IT_number 12
loop_
_space_group_symop_operation_xyz
'x,y,z'
'-x,-y,-z'
'-x,y,-z'
'x,-y,z'
'x+1/2,y+1/2,z'
'-x+1/2,-y+1/2,-z'
'-x+1/2,y+1/2,-z'
'x+1/2,-y+1/2,z'
loop_
_atom_site_label
_atom_site_type_symbol
_atom_site_fract_x
_atom_site_fract_y
_atom_site_fract_z
Pr1 Pr 0.057 0.000 0.273
Pr2 Pr 0.104 0.253 0.617
Pr3 Pr 0.118 0.500 0.008
Pr4 Pr 0.196 0.242 0.197
Er1 Er 0.000 0.500 0.500
Er2 Er 0.179 0.000 0.859
Er3 Er 0.217 0.500 0.558
Tm1 Tm 0.000 0.266 0.000
```

***

Computed X-ray diffraction stick pattern of Pr3Er3Tm2 for Cu Kα, 1.54184 Å, from a DFT-relaxed cell (GGA-PBE, Alexandria).
Kinematic intensities with the Lorentz-polarization factor, no thermal factor.

Peak list (12 most intense, 2θ from 10° to 90°, low angle first)
Position (°2θ)	I_rel	index
23.1	5	4 0 -1
29.8	26	2 0 -2
31.5	100	0 2 0
32.0	62	5 1 -1
34.2	15	1 1 -2
34.4	9	3 1 -2
43.9	18	2 2 -2
47.2	11	8 0 0
56.0	12	3 3 1
56.3	13	5 3 -1
57.8	16	8 2 0
67.0	5	10 2 -2

Cell and atoms:
```
data_Pr3Er3Tm2
_cell_length_a 16.413
_cell_length_b 5.691
_cell_length_c 5.995
_cell_angle_alpha 90.00
_cell_angle_beta 110.05
_cell_angle_gamma 90.00
_space_group_name_H-M_alt 'C 1 2/m 1'
_space_group_IT_number 12
loop_
_space_group_symop_operation_xyz
'x,y,z'
'-x,-y,-z'
'-x,y,-z'
'x,-y,z'
'x+1/2,y+1/2,z'
'-x+1/2,-y+1/2,-z'
'-x+1/2,y+1/2,-z'
'x+1/2,-y+1/2,z'
loop_
_atom_site_label
_atom_site_type_symbol
_atom_site_fract_x
_atom_site_fract_y
_atom_site_fract_z
Pr1 Pr 0.000 0.000 0.000
Pr2 Pr 0.136 0.000 0.699
Er1 Er 0.000 0.500 0.500
Er2 Er 0.134 0.500 0.083
Tm1 Tm 0.250 0.000 0.319
```

***

Computed X-ray diffraction stick pattern of PrErTm5 for Cu Kα, 1.54184 Å, from a DFT-relaxed cell (GGA-PBE, Alexandria).
Kinematic intensities with the Lorentz-polarization factor, no thermal factor.

Peak list (12 most intense, 2θ from 10° to 90°, low angle first)
Position (°2θ)	I_rel	index
15.5	15	0 0 2
26.7	15	3 1 -1
30.8	73	0 2 2
30.9	57	3 1 -3
31.1	61	3 1 1
31.4	100	0 0 4
32.9	22	4 0 0
33.5	38	2 2 1
35.8	31	2 2 -3
37.4	24	4 0 -4
55.4	22	3 1 -7
57.2	16	3 3 -5

Cell and atoms:
```
data_PrErTm5
_cell_length_a 11.536
_cell_length_b 6.747
_cell_length_c 12.083
_cell_angle_alpha 90.00
_cell_angle_beta 109.12
_cell_angle_gamma 90.00
_space_group_name_H-M_alt 'C 1 2/c 1'
_space_group_IT_number 15
loop_
_space_group_symop_operation_xyz
'x,y,z'
'-x,-y,-z'
'-x,y,-z+1/2'
'x,-y,z+1/2'
'x+1/2,y+1/2,z'
'-x+1/2,-y+1/2,-z'
'-x+1/2,y+1/2,-z+1/2'
'x+1/2,-y+1/2,z+1/2'
loop_
_atom_site_label
_atom_site_type_symbol
_atom_site_fract_x
_atom_site_fract_y
_atom_site_fract_z
Pr1 Pr 0.250 0.250 0.000
Er1 Er 0.000 0.029 0.250
Tm1 Tm 0.000 0.417 0.750
Tm2 Tm 0.075 0.276 0.498
Tm3 Tm 0.223 0.357 0.254
```